(1)
Cu2AgTe: computed powder diffraction line list (Cu Kα, 1.54184 Å), based on a crystal structure in Alexandria, relaxed with PBE.
No peak broadening, texture or thermal motion is included.

Main lines, by angle (5° ≤ 2θ ≤ 70°):
- 2θ = 24.38°, 3.652 Å, I 47, hkl 1 1 0
- 2θ = 34.15°, 2.626 Å, I 46, hkl 1 1 1
- 2θ = 39.11°, 2.303 Å, I 52, hkl 2 0 1
- 2θ = 40.46°, 2.230 Å, I 100, hkl 1 1 -2
- 2θ = 41.09°, 2.197 Å, I 49, hkl 0 2 0
- 2θ = 43.19°, 2.095 Å, I 82, hkl 3 1 -1

Crystal structure
Lattice parameters (Å, degrees): 7.165 4.394 5.180 90.00 113.59 90.00
Space group Cm (No. 8)
Unique sites:
Cu 0.000 0.000 0.000
Cu 0.109 0.500 0.849
Ag 0.418 0.000 0.230
Te 0.182 0.000 0.601


(2)
AcZnGa11: computed powder diffraction line list (Cu Kα, 1.54184 Å), based on a crystal structure in Alexandria, relaxed with PBE.
No peak broadening, texture or thermal motion is included.

Main lines, by angle (5° ≤ 2θ ≤ 70°):
- 2θ = 26.25°, 3.396 Å, I 32, hkl 1 1 -2
- 2θ = 32.05°, 2.792 Å, I 33, hkl 1 3 1
- 2θ = 36.09°, 2.489 Å, I 54, hkl 2 2 0
- 2θ = 36.80°, 2.442 Å, I 86, hkl 2 2 -2
- 2θ = 37.67°, 2.388 Å, I 33, hkl 1 1 -3
- 2θ = 38.06°, 2.364 Å, I 100, hkl 0 4 2

Crystal structure
Lattice parameters (Å, degrees): 5.778 13.174 7.297 90.00 111.51 90.00
Space group C2/m (No. 12)
Unique sites:
Ac 0.000 0.000 0.000
Zn 0.000 0.500 0.500
Ga 0.000 0.000 0.500
Ga 0.107 0.392 0.222
Ga 0.183 0.178 0.361
Ga 0.250 0.250 0.000


(3)
NaTaTe2I: computed powder diffraction line list (Cu Kα, 1.54184 Å), based on a crystal structure in Alexandria, relaxed with PBE.
No peak broadening, texture or thermal motion is included.

Main lines, by angle (5° ≤ 2θ ≤ 70°):
- 2θ = 14.80°, 5.987 Å, I 61, hkl 0 0 1
- 2θ = 16.33°, 5.427 Å, I 100, hkl 1 0 0
- 2θ = 27.61°, 3.231 Å, I 36, hkl 1 1 1
- 2θ = 29.85°, 2.994 Å, I 50, hkl 0 0 2
- 2θ = 33.01°, 2.713 Å, I 77, hkl 2 0 0
- 2θ = 45.10°, 2.010 Å, I 64, hkl 2 0 2

Crystal structure
Lattice parameters (Å, degrees): 5.427 5.427 5.987 90.00 90.00 90.00
Space group P4/mmm (No. 123)
Unique sites:
Na 0.000 0.000 0.000
Ta 0.500 0.500 0.500
Te 0.000 0.500 0.500
I 0.500 0.500 0.000


(4)
KLa2Se3: computed powder diffraction line list (Cu Kα, 1.54184 Å), based on a crystal structure in Alexandria, relaxed with PBE.
No peak broadening, texture or thermal motion is included.

Main lines, by angle (5° ≤ 2θ ≤ 70°):
- 2θ = 7.78°, 11.358 Å, I 84, hkl 0 0 2
- 2θ = 26.35°, 3.383 Å, I 71, hkl 1 0 3
- 2θ = 28.36°, 3.147 Å, I 87, hkl 1 0 4
- 2θ = 30.77°, 2.906 Å, I 100, hkl 1 0 5
- 2θ = 41.36°, 2.183 Å, I 83, hkl 1 1 0
- 2θ = 43.09°, 2.099 Å, I 54, hkl 1 0 9

Crystal structure
Lattice parameters (Å, degrees): 4.3658 4.3658 22.7164 90.00 90.00 120.00
Space group P6_3/mmc (No. 194)
Unique sites:
K 0.0000 0.0000 0.2500
La 0.3333 0.6667 0.0787
Se 0.0000 0.0000 0.0000
Se 0.3333 0.6667 0.6515


(5)
MnGa4Rh2: computed powder diffraction line list (Cu Kα, 1.54184 Å), based on a crystal structure in Alexandria, relaxed with PBE.
No peak broadening, texture or thermal motion is included.

Main lines, by angle (5° ≤ 2θ ≤ 70°):
- 2θ = 25.86°, 3.445 Å, I 30, hkl 1 0 1
- 2θ = 42.64°, 2.121 Å, I 100, hkl 1 1 2
- 2θ = 43.32°, 2.089 Å, I 48, hkl 2 0 0
- 2θ = 51.14°, 1.786 Å, I 9, hkl 2 1 1
- 2θ = 60.82°, 1.523 Å, I 8, hkl 0 0 4
- 2θ = 62.93°, 1.477 Å, I 15, hkl 2 2 0

Crystal structure
Lattice parameters (Å, degrees): 4.177 4.177 6.092 90.00 90.00 90.00
Space group P4/mmm (No. 123)
Unique sites:
Mn 0.000 0.000 0.000
Ga 0.000 0.500 0.262
Rh 0.000 0.000 0.500
Rh 0.500 0.500 0.000


(6)
La3Ge2Pt7: computed powder diffraction line list (Cu Kα, 1.54184 Å), based on a crystal structure in Alexandria, relaxed with PBE.
No peak broadening, texture or thermal motion is included.

Main lines, by angle (5° ≤ 2θ ≤ 70°):
- 2θ = 5.98°, 14.776 Å, I 21, hkl 0 2 0
- 2θ = 33.86°, 2.647 Å, I 100, hkl 1 5 1
- 2θ = 37.08°, 2.424 Å, I 44, hkl 1 7 1
- 2θ = 42.62°, 2.121 Å, I 27, hkl 2 0 0
- 2θ = 43.79°, 2.067 Å, I 25, hkl 0 0 2
- 2θ = 45.59°, 1.990 Å, I 26, hkl 1 11 1

Crystal structure
Lattice parameters (Å, degrees): 4.243 29.552 4.135 90.00 90.00 90.00
Space group Cmmm (No. 65)
Unique sites:
La 0.000 0.000 0.000
La 0.000 0.202 0.000
Ge 0.000 0.418 0.500
Pt 0.000 0.127 0.500
Pt 0.000 0.291 0.500
Pt 0.000 0.372 0.000
Pt 0.000 0.500 0.500


(7)
MgH3Ir4: computed powder diffraction line list (Cu Kα, 1.54184 Å), based on a crystal structure in Alexandria, relaxed with PBE.
No peak broadening, texture or thermal motion is included.

Main lines, by angle (5° ≤ 2θ ≤ 70°):
- 2θ = 20.19°, 4.397 Å, I 72, hkl 1 1 0
- 2θ = 35.99°, 2.495 Å, I 43, hkl 0 2 1
- 2θ = 40.49°, 2.228 Å, I 100, hkl 3 1 -1
- 2θ = 41.06°, 2.198 Å, I 86, hkl 2 0 -2
- 2θ = 42.71°, 2.117 Å, I 73, hkl 1 3 -1
- 2θ = 59.47°, 1.554 Å, I 29, hkl 0 2 2

Crystal structure
Lattice parameters (Å, degrees): 7.062 7.247 4.396 90.00 128.43 90.00
Space group C2 (No. 5)
Unique sites:
Mg 0.000 0.000 0.000
H 0.000 0.044 0.500
H 0.200 0.751 0.801
Ir 0.000 0.363 0.000
Ir 0.000 0.544 0.500
Ir 0.246 0.689 0.247